# V5Se8
Theoretical X-ray powder pattern, Cu Kα. Input: the GGA-PBE geometry in Alexandria.
Peak positions follow from Bragg's law for the DFT cell and can differ from measured ones.

The 6 most intense peaks (10° ≤ 2θ ≤ 90°), sorted by position:
2.722 Å, 2θ 32.91, I 25
2.706 Å, 2θ 33.10, I 100
2.134 Å, 2θ 42.35, I 30
2.119 Å, 2θ 42.66, I 19
1.750 Å, 2θ 52.28, I 26
1.666 Å, 2θ 55.14, I 14

Structural model:
```
data_V5Se8
_cell_length_a 11.872
_cell_length_b 7.069
_cell_length_c 8.408
_cell_angle_alpha 90.00
_cell_angle_beta 134.06
_cell_angle_gamma 90.00
_space_group_name_H-M_alt 'C 1 2/m 1'
_space_group_IT_number 12
loop_
_space_group_symop_operation_xyz
'x,y,z'
'-x,-y,-z'
'-x,y,-z'
'x,-y,z'
'x+1/2,y+1/2,z'
'-x+1/2,-y+1/2,-z'
'-x+1/2,y+1/2,-z'
'x+1/2,-y+1/2,z'
loop_
_atom_site_label
_atom_site_type_symbol
_atom_site_fract_x
_atom_site_fract_y
_atom_site_fract_z
_atom_site_occupancy
V1 V 0.000 0.000 0.000 1
V2 V 0.000 0.290 0.500 1
V3 V 0.225 0.500 0.952 1
Se1 Se 0.016 0.000 0.320 1
Se2 Se 0.061 0.500 0.339 1
Se3 Se 0.209 0.256 0.171 1
```

---

# V2Se9
Theoretical X-ray powder pattern, Cu Kα. Input: the GGA-PBE geometry in Alexandria.
Peak positions follow from Bragg's law for the DFT cell and can differ from measured ones.

The 6 most intense peaks (10° ≤ 2θ ≤ 90°), sorted by position:
6.699 Å, 2θ 13.22, I 91
6.416 Å, 2θ 13.80, I 100
3.477 Å, 2θ 25.62, I 39
3.031 Å, 2θ 29.47, I 33
2.847 Å, 2θ 31.42, I 45
1.905 Å, 2θ 47.73, I 30

Structural model:
```
data_V2Se9
_cell_length_a 10.986
_cell_length_b 13.397
_cell_length_c 8.546
_cell_angle_alpha 90.00
_cell_angle_beta 100.48
_cell_angle_gamma 90.00
_space_group_name_H-M_alt 'C 1 2/c 1'
_space_group_IT_number 15
loop_
_space_group_symop_operation_xyz
'x,y,z'
'-x,-y,-z'
'-x,y,-z+1/2'
'x,-y,z+1/2'
'x+1/2,y+1/2,z'
'-x+1/2,-y+1/2,-z'
'-x+1/2,y+1/2,-z+1/2'
'x+1/2,-y+1/2,z+1/2'
loop_
_atom_site_label
_atom_site_type_symbol
_atom_site_fract_x
_atom_site_fract_y
_atom_site_fract_z
_atom_site_occupancy
V1 V 0.132 0.230 0.415 1
Se1 Se 0.000 0.091 0.250 1
Se2 Se 0.043 0.149 0.971 1
Se3 Se 0.096 0.298 0.120 1
Se4 Se 0.170 0.337 0.663 1
Se5 Se 0.230 0.405 0.439 1
```

---

# Zr3VSe8
Theoretical X-ray powder pattern, Cu Kα. Input: the GGA-PBE geometry in Alexandria.
Peak positions follow from Bragg's law for the DFT cell and can differ from measured ones.

The 6 most intense peaks (10° ≤ 2θ ≤ 90°), sorted by position:
6.974 Å, 2θ 12.69, I 96
3.170 Å, 2θ 28.15, I 23
2.740 Å, 2θ 32.69, I 100
2.724 Å, 2θ 32.89, I 50
2.023 Å, 2θ 44.81, I 38
1.852 Å, 2θ 49.20, I 46

Structural model:
```
data_Zr3VSe8
_cell_length_a 12.830
_cell_length_b 7.407
_cell_length_c 8.213
_cell_angle_alpha 90.00
_cell_angle_beta 121.88
_cell_angle_gamma 90.00
_space_group_name_H-M_alt 'C 1 2/m 1'
_space_group_IT_number 12
loop_
_space_group_symop_operation_xyz
'x,y,z'
'-x,-y,-z'
'-x,y,-z'
'x,-y,z'
'x+1/2,y+1/2,z'
'-x+1/2,-y+1/2,-z'
'-x+1/2,y+1/2,-z'
'x+1/2,-y+1/2,z'
loop_
_atom_site_label
_atom_site_type_symbol
_atom_site_fract_x
_atom_site_fract_y
_atom_site_fract_z
_atom_site_occupancy
Zr1 Zr 0.000 0.000 0.000 1
Zr2 Zr 0.250 0.250 0.000 1
V1 V 0.000 0.500 0.000 1
Se1 Se 0.003 0.262 0.774 1
Se2 Se 0.235 0.500 0.226 1
Se3 Se 0.246 0.000 0.236 1
```

---

# WSe2
Theoretical X-ray powder pattern, Cu Kα. Input: the GGA-PBE geometry in Alexandria.
Peak positions follow from Bragg's law for the DFT cell and can differ from measured ones.

The 6 most intense peaks (10° ≤ 2θ ≤ 90°), sorted by position:
7.114 Å, 2θ 12.44, I 100
2.877 Å, 2θ 31.08, I 27
2.667 Å, 2θ 33.60, I 14
2.460 Å, 2θ 36.53, I 70
2.023 Å, 2θ 44.80, I 50
1.661 Å, 2θ 55.31, I 24

Structural model:
```
data_WSe2
_cell_length_a 3.3224
_cell_length_b 3.3224
_cell_length_c 14.2273
_cell_angle_alpha 90.00
_cell_angle_beta 90.00
_cell_angle_gamma 120.00
_space_group_name_H-M_alt 'P -3 m 1'
_space_group_IT_number 164
_space_group_name_Hall '-P 3 2"'
loop_
_atom_site_label
_atom_site_type_symbol
_atom_site_fract_x
_atom_site_fract_y
_atom_site_fract_z
_atom_site_occupancy
W1 W 0.3333 0.6667 0.2485 1
Se1 Se 0.3333 0.6667 0.6333 1
Se2 Se 0.3333 0.6667 0.8697 1
```

---

# ZnW4Se
Theoretical X-ray powder pattern, Cu Kα. Input: the GGA-PBE geometry in Alexandria.
Peak positions follow from Bragg's law for the DFT cell and can differ from measured ones.

The 6 most intense peaks (10° ≤ 2θ ≤ 90°), sorted by position:
4.353 Å, 2θ 20.40, I 53
2.273 Å, 2θ 39.65, I 100
2.176 Å, 2θ 41.49, I 70
1.451 Å, 2θ 64.19, I 32
1.333 Å, 2θ 70.68, I 32
1.137 Å, 2θ 85.41, I 27

Structural model:
```
data_ZnW4Se
_cell_length_a 7.540
_cell_length_b 7.540
_cell_length_c 7.540
_cell_angle_alpha 90.00
_cell_angle_beta 90.00
_cell_angle_gamma 90.00
_space_group_name_H-M_alt 'F -4 3 m'
_space_group_IT_number 216
_space_group_name_Hall 'F -4 2 3'
loop_
_atom_site_label
_atom_site_type_symbol
_atom_site_fract_x
_atom_site_fract_y
_atom_site_fract_z
_atom_site_occupancy
Zn1 Zn 0.000 0.000 0.000 1
W1 W 0.126 0.126 0.626 1
Se1 Se 0.250 0.250 0.250 1
```

---

# Y2Se3
Theoretical X-ray powder pattern, Cu Kα. Input: the GGA-PBE geometry in Alexandria.
Peak positions follow from Bragg's law for the DFT cell and can differ from measured ones.

The 6 most intense peaks (10° ≤ 2θ ≤ 90°), sorted by position:
6.483 Å, 2θ 13.66, I 31
2.909 Å, 2θ 30.74, I 100
2.892 Å, 2θ 30.92, I 50
2.051 Å, 2θ 44.17, I 90
1.680 Å, 2θ 54.62, I 20
1.672 Å, 2θ 54.91, I 18

Structural model:
```
data_Y2Se3
_cell_length_a 8.258
_cell_length_b 11.569
_cell_length_c 24.593
_cell_angle_alpha 90.00
_cell_angle_beta 90.00
_cell_angle_gamma 90.00
_space_group_name_H-M_alt 'F d d d'
_space_group_IT_number 70
loop_
_space_group_symop_operation_xyz
'x,y,z'
'-x,-y,-z'
'-x+1/4,-y+1/4,z'
'x+1/4,y+1/4,-z'
'x,-y+1/4,-z+1/4'
'-x,y+1/4,z+1/4'
'-x+1/4,y,-z+1/4'
'x+1/4,-y,z+1/4'
'x,y+1/2,z+1/2'
'-x,-y+1/2,-z+1/2'
'-x+1/4,-y+3/4,z+1/2'
'x+1/4,y+3/4,-z+1/2'
'x,-y+3/4,-z+3/4'
'-x,y+3/4,z+3/4'
'-x+1/4,y+1/2,-z+3/4'
'x+1/4,-y+1/2,z+3/4'
'x+1/2,y,z+1/2'
'-x+1/2,-y,-z+1/2'
'-x+3/4,-y+1/4,z+1/2'
'x+3/4,y+1/4,-z+1/2'
'x+1/2,-y+1/4,-z+3/4'
'-x+1/2,y+1/4,z+3/4'
'-x+3/4,y,-z+3/4'
'x+3/4,-y,z+3/4'
'x+1/2,y+1/2,z'
'-x+1/2,-y+1/2,-z'
'-x+3/4,-y+3/4,z'
'x+3/4,y+3/4,-z'
'x+1/2,-y+3/4,-z+1/4'
'-x+1/2,y+3/4,z+1/4'
'-x+3/4,y+1/2,-z+1/4'
'x+3/4,-y+1/2,z+1/4'
loop_
_atom_site_label
_atom_site_type_symbol
_atom_site_fract_x
_atom_site_fract_y
_atom_site_fract_z
_atom_site_occupancy
Y1 Y 0.125 0.125 0.041 1
Y2 Y 0.125 0.125 0.378 1
Se1 Se 0.117 0.372 0.206 1
Se2 Se 0.117 0.375 0.375 1
```

---

# Y4Se5
Theoretical X-ray powder pattern, Cu Kα. Input: the GGA-PBE geometry in Alexandria.
Peak positions follow from Bragg's law for the DFT cell and can differ from measured ones.

The 6 most intense peaks (10° ≤ 2θ ≤ 90°), sorted by position:
2.884 Å, 2θ 31.01, I 100
2.773 Å, 2θ 32.28, I 33
2.677 Å, 2θ 33.48, I 66
2.440 Å, 2θ 36.84, I 44
2.289 Å, 2θ 39.37, I 75
1.869 Å, 2θ 48.72, I 27

Structural model:
```
data_Y4Se5
_cell_length_a 3.738
_cell_length_b 8.684
_cell_length_c 13.597
_cell_angle_alpha 90.00
_cell_angle_beta 90.00
_cell_angle_gamma 90.00
_space_group_name_H-M_alt 'I m m m'
_space_group_IT_number 71
_space_group_name_Hall '-I 2 2'
loop_
_atom_site_label
_atom_site_type_symbol
_atom_site_fract_x
_atom_site_fract_y
_atom_site_fract_z
_atom_site_occupancy
Y1 Y 0.000 0.206 0.134 1
Se1 Se 0.000 0.151 0.500 1
Se2 Se 0.000 0.500 0.247 1
Se3 Se 0.000 0.500 0.500 1
```

---

# Y3Se
Theoretical X-ray powder pattern, Cu Kα. Input: the GGA-PBE geometry in Alexandria.
Peak positions follow from Bragg's law for the DFT cell and can differ from measured ones.

The 6 most intense peaks (10° ≤ 2θ ≤ 90°), sorted by position:
3.246 Å, 2θ 27.48, I 33
2.695 Å, 2θ 33.25, I 100
2.287 Å, 2θ 39.40, I 15
1.874 Å, 2θ 48.58, I 27
1.539 Å, 2θ 60.14, I 17
1.189 Å, 2θ 80.82, I 15

Structural model:
```
data_Y3Se
_cell_length_a 3.7482
_cell_length_b 3.7482
_cell_length_c 9.6677
_cell_angle_alpha 90.00
_cell_angle_beta 90.00
_cell_angle_gamma 120.00
_space_group_name_H-M_alt 'P -6 m 2'
_space_group_IT_number 187
_space_group_name_Hall 'P -6 2'
loop_
_atom_site_label
_atom_site_type_symbol
_atom_site_fract_x
_atom_site_fract_y
_atom_site_fract_z
_atom_site_occupancy
Y1 Y 0.0000 0.0000 0.0000 1
Y2 Y 0.6667 0.3333 0.2968 1
Se1 Se 0.0000 0.0000 0.5000 1
```